Record 1
Diffraction record for Er3Al5Cu. The XRD peak list is simulated, not measured: it uses DFT lattice parameters and positions (PBE) and copper Kα.
Intensities are scaled so that the largest is 100.

Structure:
```
Er3Al5Cu
1.0
6.9318 0.0000 0.0000
-3.4659 6.0031 0.0000
0.0000 0.0000 4.3218
Er Al Cu
3 5 1
Cartesian
-2.0399 3.5333 0.0000 Er
1.4260 2.4699 0.0000 Er
4.0799 0.0000 0.0000 Er
-0.8165 1.4142 2.1609 Al
1.6329 0.0000 2.1609 Al
0.0000 4.0021 2.1609 Al
3.4659 2.0010 2.1609 Al
2.6494 4.5889 2.1609 Al
0.0000 0.0000 0.0000 Cu
```

Principal peaks in the range 15 to 90 degrees two-theta, in order of falling intensity:
- 2θ = 33.1°, I 100
- 2θ = 36.4°, I 87
- 2θ = 20.6°, I 59
- 2θ = 25.7°, I 49
- 2θ = 29.8°, I 42
- 2θ = 59.5°, I 40
- 2θ = 39.7°, I 30
- 2θ = 41.8°, I 26
- 2θ = 55.2°, I 23
- 2θ = 71.5°, I 22
- 2θ = 59.0°, I 19
- 2θ = 52.2°, I 18

***

Record 2
Diffraction record for La3CuI3. The XRD peak list is simulated, not measured: it uses DFT lattice parameters and positions (PBE) and copper Kα.
Intensities are scaled so that the largest is 100.

Structure:
```
La3CuI3
1.0
-6.3261 6.3261 6.3261
6.3261 -6.3261 6.3261
6.3261 6.3261 -6.3261
La Cu I
12 4 12
Cartesian
1.7814 1.5815 -1.3816 La
7.7077 1.7814 -1.5815 La
1.5815 -1.3816 1.7814 La
4.9445 4.5446 -1.5815 La
4.5446 1.5815 1.3816 La
-1.3816 1.7814 1.5815 La
4.5446 -1.5815 4.9445 La
1.5815 1.3816 4.5446 La
1.3816 4.5446 1.5815 La
1.7814 -1.5815 7.7077 La
-1.5815 7.7077 1.7814 La
-1.5815 4.9445 4.5446 La
4.7445 1.5815 -1.5815 Cu
1.5815 1.5815 1.5815 Cu
1.5815 -1.5815 4.7445 Cu
-1.5815 4.7445 1.5815 Cu
7.9076 1.4530 1.7100 I
7.9076 -1.4530 4.6160 I
4.6160 7.9076 -1.4530 I
4.8731 1.7100 4.7445 I
4.7445 4.8731 1.7100 I
1.7100 7.9076 1.4530 I
7.7791 4.6160 4.7445 I
1.7100 4.7445 4.8731 I
1.4530 1.7100 7.9076 I
4.7445 7.7791 4.6160 I
-1.4530 4.6160 7.9076 I
4.6160 4.7445 7.7791 I
```

Principal peaks in the range 15 to 90 degrees two-theta, in order of falling intensity:
- 2θ = 28.2°, I 100
- 2θ = 40.3°, I 71
- 2θ = 26.4°, I 26
- 2θ = 66.0°, I 26
- 2θ = 49.9°, I 24
- 2θ = 73.3°, I 18
- 2θ = 33.2°, I 17
- 2θ = 53.2°, I 14
- 2θ = 57.3°, I 12
- 2θ = 58.3°, I 10
- 2θ = 89.7°, I 7
- 2θ = 68.8°, I 5

***

Record 3
Diffraction record for MgGaOsO6. The XRD peak list is simulated, not measured: it uses DFT lattice parameters and positions (PBE) and copper Kα.
Intensities are scaled so that the largest is 100.

Structure:
```
MgGaOsO6
1.0
4.6356 0.0000 0.0000
0.0000 4.6356 0.0000
0.0000 0.0000 9.1298
Mg Ga Os O
2 2 2 12
Cartesian
0.0000 0.0000 0.0000 Mg
2.3178 2.3178 4.5649 Mg
0.0000 0.0000 3.0310 Ga
2.3178 2.3178 7.5959 Ga
0.0000 0.0000 6.0878 Os
2.3178 2.3178 1.5228 Os
0.8740 0.8740 4.6311 O
0.9222 0.9222 7.4998 O
0.9873 0.9873 1.5620 O
1.3305 3.3051 6.1270 O
1.3956 3.2400 2.9348 O
1.4438 3.1918 0.0662 O
3.1918 1.4438 0.0662 O
3.2400 1.3956 2.9348 O
3.3051 1.3305 6.1270 O
3.6484 3.6484 1.5620 O
3.7134 3.7134 7.4998 O
3.7617 3.7617 4.6311 O
```

Principal peaks in the range 15 to 90 degrees two-theta, in order of falling intensity:
- 2θ = 27.2°, I 100
- 2θ = 21.5°, I 87
- 2θ = 35.3°, I 75
- 2θ = 53.5°, I 66
- 2θ = 19.4°, I 29
- 2θ = 33.7°, I 26
- 2θ = 44.8°, I 23
- 2θ = 68.0°, I 20
- 2θ = 38.9°, I 19
- 2θ = 56.1°, I 17
- 2θ = 63.5°, I 15
- 2θ = 67.9°, I 15